(1)
For Li2Zn5Ga3, DFT lattice parameters and positions (PBE) gives the computed powder diffractogram in this record (copper Kα).
Kinematic intensities with the Lorentz-polarization factor, no thermal factor.

```
Li2Zn5Ga3
1.0
5.098 -6.020 0.000
5.098 6.020 0.000
-0.510 0.000 5.355
Li Zn Ga
4 10 6
Cartesian
3.375 3.010 4.686
6.055 3.010 3.347
3.630 -3.010 2.008
6.310 -3.010 0.669
4.715 5.534 4.016
1.986 0.489 5.313
3.584 1.742 1.968
2.241 -0.489 2.636
6.356 1.742 0.710
3.329 -1.742 4.645
7.444 0.489 2.719
6.101 -1.742 3.387
7.699 -0.489 0.042
4.970 -5.534 1.339
3.644 4.213 2.035
6.296 4.213 0.642
4.715 0.489 4.016
4.970 -0.489 1.339
3.389 -4.213 4.713
6.041 -4.213 3.320
```

Largest 8 diffraction maxima, sorted by position, 2θ from 10° to 80°:
2θ = 14.71°, rel. 51.5
2θ = 20.83°, rel. 40.1
2θ = 30.80°, rel. 59.6
2θ = 37.50°, rel. 39.3
2θ = 38.50°, rel. 43.6
2θ = 39.48°, rel. 41.3
2θ = 39.52°, rel. 59.4
2θ = 42.44°, rel. 100.0

=====

(2)
For Li5Zn2Ga4, DFT lattice parameters and positions (PBE) gives the computed powder diffractogram in this record (copper Kα).
Kinematic intensities with the Lorentz-polarization factor, no thermal factor.

```
Li5Zn2Ga4
1.0
6.555 0.000 0.000
0.000 14.068 0.000
0.000 0.000 3.939
Li Zn Ga
10 4 8
Cartesian
0.000 0.000 0.000
0.667 5.896 0.000
1.371 2.773 0.000
1.907 9.807 0.000
2.611 12.930 0.000
3.278 7.034 0.000
3.944 1.138 0.000
4.648 4.261 0.000
5.185 11.295 0.000
5.889 8.172 0.000
0.113 4.233 1.969
3.164 11.267 1.969
3.391 2.801 1.969
6.442 9.835 1.969
0.700 12.224 1.969
1.433 7.727 1.969
1.845 0.693 1.969
2.577 5.190 1.969
3.978 8.878 1.969
4.711 13.375 1.969
5.122 6.341 1.969
5.855 1.844 1.969
```

Largest 8 diffraction maxima, sorted by position, 2θ from 10° to 80°:
2θ = 22.57°, rel. 100.0
2θ = 28.81°, rel. 14.5
2θ = 30.08°, rel. 25.8
2θ = 34.70°, rel. 14.7
2θ = 36.91°, rel. 21.6
2θ = 37.93°, rel. 35.1
2θ = 41.79°, rel. 22.9
2θ = 46.09°, rel. 18.7